# NbHgRh
Theoretical XRD peak list, copper Kα. Input: DFT lattice parameters and positions (GGA-PBE).
Kinematic intensities with the Lorentz-polarization factor, no thermal factor.

Cell and atoms:
abc: 5.698 5.698 6.726
angles: 105.76 105.76 30.70
Positions (direct):
Nb: 0.000 0.000 0.000
Nb: 0.022 0.022 0.577
Hg: 0.688 0.688 0.353
Hg: 0.715 0.715 0.914
Rh: 0.353 0.353 0.684
Rh: 0.402 0.402 0.248

Top 6 peaks for 15 to 90 degrees two-theta, sorted by position:
2θ 30.83, d 2.900, I 190
2θ 36.51, d 2.461, I 454
2θ 37.48, d 2.399, I 610
2θ 39.36, d 2.289, I 1000
2θ 40.16, d 2.245, I 986
2θ 69.99, d 1.344, I 173